Lu4Zr2Bi3N3: calculated PXRD pattern (Cu Kα), based on DFT lattice parameters and positions (PBE).
Intensities are scaled so that the largest is 100.

The 6 most intense peaks (2θ from 10° to 80°), in order of rising 2θ:
29.6°, I 22.8
34.9°, I 100.0
36.8°, I 18.3
47.9°, I 15.1
52.5°, I 22.0
65.1°, I 16.7

Crystal structure
abc: 6.033 6.033 15.060
angles: 101.47 101.47 60.11
Fractional coordinates of all 24 atoms:
Lu1 0.027 0.196 0.083
Lu2 0.139 0.306 0.417
Lu3 0.196 0.027 0.583
Lu4 0.306 0.139 0.917
Lu5 0.694 0.861 0.083
Lu6 0.804 0.973 0.417
Lu7 0.861 0.694 0.583
Lu8 0.973 0.804 0.917
Zr1 0.363 0.527 0.079
Zr2 0.473 0.637 0.421
Zr3 0.527 0.363 0.579
Zr4 0.637 0.473 0.921
Bi1 0.090 0.910 0.250
Bi2 0.259 0.416 0.750
Bi3 0.416 0.259 0.250
Bi4 0.584 0.741 0.750
Bi5 0.741 0.584 0.250
Bi6 0.910 0.090 0.750
N1 0.000 0.500 0.000
N2 0.160 0.670 0.500
N3 0.330 0.840 0.000
N4 0.500 0.000 0.500
N5 0.670 0.160 0.000
N6 0.840 0.330 0.500



HoPtF7: calculated PXRD pattern (Cu Kα), based on DFT lattice parameters and positions (PBE).
Intensities are scaled so that the largest is 100.

The 6 most intense peaks (2θ from 10° to 80°), in order of rising 2θ:
23.2°, I 100.0
23.5°, I 45.1
30.4°, I 35.9
34.4°, I 19.8
46.9°, I 20.3
50.1°, I 18.4

Crystal structure
abc: 8.539 5.215 11.671
angles: 90.00 117.65 90.00
Fractional coordinates of all 36 atoms:
Ho1 0.186 0.234 0.262
Ho2 0.186 0.266 0.762
Ho3 0.814 0.734 0.238
Ho4 0.814 0.766 0.738
Pt1 0.272 0.741 0.042
Pt2 0.272 0.759 0.542
Pt3 0.728 0.241 0.458
Pt4 0.728 0.259 0.958
F1 0.015 0.744 0.453
F2 0.015 0.756 0.953
F3 0.039 0.616 0.727
F4 0.039 0.884 0.227
F5 0.259 0.090 0.460
F6 0.259 0.410 0.960
F7 0.261 0.570 0.186
F8 0.261 0.930 0.686
F9 0.296 0.062 0.135
F10 0.296 0.438 0.635
F11 0.300 0.579 0.406
F12 0.300 0.921 0.906
F13 0.474 0.198 0.366
F14 0.474 0.302 0.866
F15 0.526 0.698 0.134
F16 0.526 0.802 0.634
F17 0.700 0.079 0.094
F18 0.700 0.421 0.594
F19 0.704 0.562 0.365
F20 0.704 0.938 0.865
F21 0.739 0.070 0.314
F22 0.739 0.430 0.814
F23 0.741 0.590 0.040
F24 0.741 0.910 0.540
F25 0.961 0.116 0.773
F26 0.961 0.384 0.273
F27 0.985 0.244 0.047
F28 0.985 0.256 0.547



Hf3Ni4Bi4: calculated PXRD pattern (Cu Kα), based on DFT lattice parameters and positions (PBE).
Intensities are scaled so that the largest is 100.

The 6 most intense peaks (2θ from 10° to 80°), in order of rising 2θ:
28.8°, I 64.5
29.2°, I 28.5
41.1°, I 53.8
41.4°, I 100.0
51.2°, I 25.7
75.2°, I 34.2

Crystal structure
abc: 7.535 7.535 7.535
angles: 131.37 131.37 71.22
Fractional coordinates of all 11 atoms:
Hf1 0.000 0.000 0.000
Hf2 0.250 0.750 0.500
Hf3 0.750 0.250 0.500
Ni1 0.103 0.636 0.000
Ni2 0.364 0.364 0.467
Ni3 0.636 0.103 0.000
Ni4 0.897 0.897 0.533
Bi1 0.000 0.500 0.500
Bi2 0.269 0.269 0.000
Bi3 0.500 0.000 0.500
Bi4 0.731 0.731 0.000



CsLu2CuTe3Se: calculated PXRD pattern (Cu Kα), based on DFT lattice parameters and positions (PBE).
Intensities are scaled so that the largest is 100.

The 6 most intense peaks (2θ from 10° to 80°), in order of rising 2θ:
21.2°, I 43.6
26.4°, I 48.1
27.8°, I 100.0
29.7°, I 76.3
40.4°, I 69.4
42.0°, I 41.7

Crystal structure
abc: 7.933 7.933 15.032
angles: 90.00 90.00 148.54
Fractional coordinates of all 16 atoms:
Cs1 0.100 0.900 0.750
Cs2 0.900 0.100 0.250
Lu1 0.368 0.632 0.573
Lu2 0.368 0.632 0.927
Lu3 0.632 0.368 0.073
Lu4 0.632 0.368 0.427
Cu1 0.162 0.838 0.250
Cu2 0.838 0.162 0.750
Te1 0.000 0.000 0.000
Te2 0.000 0.000 0.500
Te3 0.262 0.738 0.107
Te4 0.262 0.738 0.393
Te5 0.738 0.262 0.607
Te6 0.738 0.262 0.893
Se1 0.421 0.579 0.750
Se2 0.579 0.421 0.250



TaNb3Al2C2: calculated PXRD pattern (Cu Kα), based on DFT lattice parameters and positions (PBE).
Intensities are scaled so that the largest is 100.

The 6 most intense peaks (2θ from 10° to 80°), in order of rising 2θ:
12.7°, I 42.1
33.2°, I 23.2
33.8°, I 23.9
38.5°, I 100.0
38.8°, I 19.3
59.2°, I 20.0

Crystal structure
abc: 3.120 3.120 13.933
angles: 90.00 90.00 120.00
Fractional coordinates of all 8 atoms:
Ta1 0.000 0.000 0.000
Nb1 0.000 0.000 0.321
Nb2 0.667 0.333 0.500
Nb3 0.667 0.333 0.821
Al1 0.000 0.000 0.661
Al2 0.667 0.333 0.161
C1 0.333 0.667 0.411
C2 0.333 0.667 0.912



Nd2GdMg3Ir2Au: calculated PXRD pattern (Cu Kα), based on DFT lattice parameters and positions (PBE).
Intensities are scaled so that the largest is 100.

The 6 most intense peaks (2θ from 10° to 80°), in order of rising 2θ:
23.6°, I 48.4
25.8°, I 26.8
32.3°, I 52.1
35.2°, I 100.0
41.5°, I 22.3
42.8°, I 25.1

Crystal structure
abc: 4.078 7.528 7.528
angles: 119.80 90.00 90.00
Fractional coordinates of all 9 atoms:
Nd1 0.000 0.210 0.790
Nd2 0.000 0.790 0.210
Gd1 0.000 0.372 0.372
Mg1 0.500 0.043 0.043
Mg2 0.500 0.539 0.788
Mg3 0.500 0.788 0.539
Ir1 0.500 0.129 0.456
Ir2 0.500 0.456 0.129
Au1 0.000 0.787 0.787